No. 1
# AlCoO6F6
Simulated X-ray diffraction stick pattern, Cu Kα, 1.54184 Å. Input: a structure optimized by DFT (GGA+U).
Kinematic intensities with the Lorentz-polarization factor, no thermal factor.

Cell and atoms:
a b c (Å): 7.663 7.663 5.912
angles (deg): 91.43 91.43 96.67
Fractional positions:
Al (0.000, 0.500, 0.000)
Al (0.500, 0.000, 0.000)
Co (0.000, 0.000, 0.500)
Co (0.500, 0.500, 0.500)
O (0.079, 0.079, 0.240)
O (0.158, 0.842, 0.500)
O (0.164, 0.164, 0.642)
O (0.263, 0.473, 0.464)
O (0.473, 0.263, 0.464)
O (0.475, 0.475, 0.795)
O (0.525, 0.525, 0.205)
O (0.527, 0.737, 0.536)
O (0.737, 0.527, 0.536)
O (0.836, 0.836, 0.358)
O (0.842, 0.158, 0.500)
O (0.921, 0.921, 0.760)
F (0.021, 0.717, 0.149)
F (0.093, 0.604, 0.752)
F (0.220, 0.468, 0.101)
F (0.283, 0.979, 0.851)
F (0.396, 0.907, 0.248)
F (0.468, 0.220, 0.101)
F (0.532, 0.780, 0.899)
F (0.604, 0.093, 0.752)
F (0.717, 0.021, 0.149)
F (0.780, 0.532, 0.899)
F (0.907, 0.396, 0.248)
F (0.979, 0.283, 0.851)

The 12 most intense peaks (2θ from 10° to 80°), by intensity:
d_spacing, I (rel.)
4.111, 100
3.804, 98
3.930, 64
2.283, 43
1.860, 31
3.787, 31
2.139, 20
1.902, 17
2.365, 14
1.787, 14
1.470, 14
1.579, 13

---

No. 2
# Li2Fe3WO8
Simulated X-ray diffraction stick pattern, Cu Kα, 1.54184 Å. Input: a structure optimized by DFT (GGA+U).
Kinematic intensities with the Lorentz-polarization factor, no thermal factor.

Cell and atoms:
a b c (Å): 6.038 6.038 9.793
angles (deg): 90.00 90.00 120.04
Fractional positions:
Li (0.003, 0.997, 0.500)
Li (0.330, 0.670, 0.577)
Li (0.670, 0.330, 0.077)
Li (0.997, 0.003, 0.000)
Fe (0.167, 0.833, 0.273)
Fe (0.172, 0.345, 0.271)
Fe (0.345, 0.172, 0.771)
Fe (0.655, 0.828, 0.271)
Fe (0.828, 0.655, 0.771)
Fe (0.833, 0.167, 0.773)
W (0.337, 0.663, 0.999)
W (0.663, 0.337, 0.499)
O (0.005, 0.995, 0.688)
O (0.045, 0.506, 0.129)
O (0.179, 0.821, 0.896)
O (0.193, 0.344, 0.901)
O (0.334, 0.666, 0.376)
O (0.344, 0.193, 0.401)
O (0.483, 0.517, 0.142)
O (0.494, 0.955, 0.129)
O (0.506, 0.045, 0.629)
O (0.517, 0.483, 0.642)
O (0.656, 0.807, 0.901)
O (0.666, 0.334, 0.876)
O (0.807, 0.656, 0.401)
O (0.821, 0.179, 0.396)
O (0.955, 0.494, 0.629)
O (0.995, 0.005, 0.188)

The 12 most intense peaks (2θ from 10° to 80°), by intensity:
d_spacing, I (rel.)
4.612, 100
2.569, 44
2.769, 35
3.574, 29
2.525, 25
2.040, 19
1.567, 19
1.690, 19
1.509, 16
1.833, 15
1.937, 14
1.435, 13